(1)
This entry pairs a crystal structure of SrPmZnN2 with its theoretical powder XRD pattern. Radiation: Cu Ka. Structure: DFT lattice parameters and positions (PBE).
Peak positions follow from Bragg's law for the DFT cell and can differ from measured ones.

Most intense lines, 2θ = 10–80°, by angle:
two_theta  d [Å]  I (rel.)  h k l
15.88  5.580  35  0 1 0
22.76  3.906  43  1 1 0
30.80  2.903  12  1 0 2
32.08  2.790  26  0 2 0
32.74  2.735  25  2 0 0
34.83  2.576  100  1 1 2
46.49  1.953  25  2 2 0
58.97  1.566  22  1 3 2
59.80  1.547  21  3 1 2
73.54  1.288  12  2 2 4

```
data_SrPmZnN2
_cell_length_a 5.4700
_cell_length_b 5.5804
_cell_length_c 6.8517
_cell_angle_alpha 90.00
_cell_angle_beta 90.00
_cell_angle_gamma 90.00
_symmetry_space_group_name_H-M 'P c c m'
_symmetry_Int_Tables_number 49
_symmetry_space_group_name_Hall '-P 2 2c'
loop_
_atom_site_label
_atom_site_type_symbol
_atom_site_fract_x
_atom_site_fract_y
_atom_site_fract_z
Sr1 Sr 0.0000 0.0000 0.2500
Pm1 Pm 0.5000 0.5000 0.2500
Zn1 Zn 0.0000 0.5000 0.0000
N1 N 0.2649 0.2870 0.0000
```


(2)
This entry pairs a crystal structure of NdDyYEr2 with its theoretical powder XRD pattern. Radiation: Cu Ka. Structure: DFT lattice parameters and positions (PBE).
Peak positions follow from Bragg's law for the DFT cell and can differ from measured ones.

Most intense lines, 2θ = 10–80°, by angle:
two_theta  d [Å]  I (rel.)  h k l
26.34  3.384  82  2 2 0
29.26  3.052  93  0 2 2
31.20  2.867  62  0 4 0
32.77  2.733  100  2 0 2
33.00  2.715  29  3 1 0
35.88  2.503  51  1 3 2
39.97  2.256  42  3 3 0
45.87  1.978  63  2 4 2
57.97  1.591  38  3 5 2
66.14  1.413  34  3 7 0

```
data_NdDyYEr2
_cell_length_a 8.3823
_cell_length_b 11.4685
_cell_length_c 7.2094
_cell_angle_alpha 90.00
_cell_angle_beta 90.00
_cell_angle_gamma 90.00
_symmetry_space_group_name_H-M 'C m c m'
_symmetry_Int_Tables_number 63
_symmetry_space_group_name_Hall '-C 2c 2'
loop_
_atom_site_label
_atom_site_type_symbol
_atom_site_fract_x
_atom_site_fract_y
_atom_site_fract_z
Nd1 Nd 0.0000 0.2259 0.2500
Dy1 Dy 0.0000 0.2218 0.7500
Y1 Y 0.0000 0.4990 0.2500
Er1 Er 0.1886 0.0000 0.0000
```